Record 1
Starting from a structure optimized by DFT (PBE), the powder diffractogram of Yb5Zr3Ni16As12 was simulated for copper Kα.
Lines closer than 0.1° are merged.

Structure:
Unit cell a=12.8123 b=12.8123 c=3.9279 alpha=90.00 beta=90.00 gamma=120.00
Space group P-62m (No. 189)
Asymmetric unit:
Yb: 0.0000 0.1830 0.0000 (multiplicity 3)
Yb: 0.3333 0.6667 0.5000 (multiplicity 2)
Zr: 0.0000 0.5634 0.5000 (multiplicity 3)
Ni: 0.0000 0.0000 0.5000 (multiplicity 1)
Ni: 0.0000 0.7221 0.0000 (multiplicity 3)
Ni: 0.1199 0.4819 0.0000 (multiplicity 6)
Ni: 0.1835 0.8056 0.5000 (multiplicity 6)
As: 0.0000 0.3544 0.5000 (multiplicity 3)
As: 0.0000 0.8215 0.5000 (multiplicity 3)
As: 0.1731 0.6932 0.0000 (multiplicity 6)

Largest 10 diffraction maxima, in order of rising 2θ, 10 to 90 degrees two-theta:
index  2θ (°)  I/Imax
3 1 0  29.02  14
3 0 1  33.27  28
2 2 1  36.19  100
3 1 1  37.12  81
5 1 0  45.52  12
0 0 2  46.22  36
6 0 0  49.27  33
4 3 1  55.54  23
6 0 2  69.86  22
2 2 3  79.04  18

Record 2
Starting from a structure optimized by DFT (PBE), the powder diffractogram of Ba2LiPaSe5 was simulated for copper Kα.
Lines closer than 0.1° are merged.

Structure:
Unit cell a=4.3857 b=18.7226 c=13.4081 alpha=90.00 beta=90.00 gamma=90.00
Space group Cmc2_1 (No. 36)
Asymmetric unit:
Ba: 0.0000 0.1019 0.0000 (multiplicity 4)
Ba: 0.0000 0.1202 0.6269 (multiplicity 4)
Li: 0.0000 0.4402 0.7605 (multiplicity 4)
Pa: 0.0000 0.2076 0.3317 (multiplicity 4)
Se: 0.0000 0.0662 0.3616 (multiplicity 4)
Se: 0.0000 0.2832 0.9688 (multiplicity 4)
Se: 0.0000 0.3023 0.6951 (multiplicity 4)
Se: 0.0000 0.3535 0.3181 (multiplicity 4)
Se: 0.0000 0.4998 0.0943 (multiplicity 4)

Largest 10 diffraction maxima, in order of rising 2θ, 10 to 90 degrees two-theta:
index  2θ (°)  I/Imax
0 2 2  16.26  35
0 4 1  20.09  14
0 2 3  22.04  18
1 1 3  28.92  100
0 6 1  29.39  36
1 5 2  34.21  39
2 0 0  41.17  22
0 6 5  44.55  15
1 7 4  48.22  19
2 6 1  51.38  15